Theoretical XRD peak list
Compound: LaGa2PdPt2
Radiation: Cu Kα X-rays
Structure: a structure optimized by DFT (GGA-PBE)
Lines closer than 0.1° are merged.

The 8 most intense peaks (10 to 90 degrees two-theta), sorted by position:
two_theta	d (Å)	intensity
26.81	3.326	53
35.28	2.544	100
41.08	2.197	93
46.42	1.956	20
55.24	1.663	28
58.32	1.582	18
71.11	1.326	26
74.86	1.268	16

Cell and atoms:
Unit cell a=4.3940 b=4.3940 c=6.8416 alpha=90.00 beta=90.00 gamma=120.00
Sites, in units of the cell vectors:
La1 0.0000 0.0000 0.0000
Ga1 0.3333 0.6667 0.3284
Ga2 0.6667 0.3333 0.6716
Pd1 0.0000 0.0000 0.5000
Pt1 0.3333 0.6667 0.7166
Pt2 0.6667 0.3333 0.2834



Theoretical XRD peak list
Compound: Cs8NaAu4
Radiation: Cu Kα X-rays
Structure: a structure optimized by DFT (GGA-PBE)
Lines closer than 0.1° are merged.

The 8 most intense peaks (10 to 90 degrees two-theta), sorted by position:
two_theta	d (Å)	intensity
10.02	8.827	70
19.25	4.610	28
23.27	3.822	100
30.38	2.942	32
33.14	2.703	81
40.89	2.207	27
53.61	1.709	32
59.21	1.560	24

Cell and atoms:
Unit cell a=10.8114 b=10.8114 c=10.8114 alpha=60.00 beta=60.00 gamma=60.00
Sites, in units of the cell vectors:
Cs1 0.3931 0.3931 0.3931
Cs2 0.3931 0.3931 0.8206
Cs3 0.3931 0.8206 0.3931
Cs4 0.3958 0.8681 0.8681
Cs5 0.8206 0.3931 0.3931
Cs6 0.8681 0.3958 0.8681
Cs7 0.8681 0.8681 0.3958
Cs8 0.8681 0.8681 0.8681
Na1 0.2500 0.2500 0.2500
Au1 0.1173 0.6276 0.6276
Au2 0.6276 0.1173 0.6276
Au3 0.6276 0.6276 0.1173
Au4 0.6276 0.6276 0.6276



Theoretical XRD peak list
Compound: La5TbCd
Radiation: Cu Kα X-rays
Structure: a structure optimized by DFT (GGA-PBE)
Lines closer than 0.1° are merged.

The 8 most intense peaks (10 to 90 degrees two-theta), sorted by position:
two_theta	d (Å)	intensity
27.97	3.190	22
30.67	2.915	38
30.99	2.885	42
31.54	2.837	34
31.90	2.806	100
32.12	2.787	14
32.22	2.779	40
57.23	1.610	14

Cell and atoms:
Unit cell a=6.6094 b=6.6094 c=11.7947 alpha=102.68 beta=102.68 gamma=95.11
Sites, in units of the cell vectors:
La1 0.0284 0.3903 0.8440
La2 0.1414 0.8586 0.7500
La3 0.2239 0.5447 0.4722
La4 0.3903 0.0284 0.3440
La5 0.4553 0.7761 0.0278
La6 0.5447 0.2239 0.9722
La7 0.6097 0.9716 0.6560
La8 0.7761 0.4553 0.5278
La9 0.8586 0.1414 0.2500
La10 0.9716 0.6097 0.1560
Tb1 0.4946 0.5054 0.2500
Tb2 0.5054 0.4946 0.7500
Cd1 0.0000 0.0000 0.0000
Cd2 0.0000 0.0000 0.5000



Theoretical XRD peak list
Compound: Pa2Sn2C
Radiation: Cu Kα X-rays
Structure: a structure optimized by DFT (GGA-PBE)
Lines closer than 0.1° are merged.

The 8 most intense peaks (10 to 90 degrees two-theta), sorted by position:
two_theta	d (Å)	intensity
27.37	3.259	35
30.62	2.920	100
32.43	2.761	60
38.25	2.353	35
42.62	2.121	45
54.55	1.682	29
58.59	1.575	33
70.58	1.334	20

Cell and atoms:
Unit cell a=13.0721 b=13.0721 c=13.0721 alpha=161.32 beta=161.32 gamma=26.54
Sites, in units of the cell vectors:
Pa1 0.0824 0.3324 0.7500
Pa2 0.3324 0.0824 0.2500
Pa3 0.6676 0.9176 0.7500
Pa4 0.9176 0.6676 0.2500
Sn1 0.2122 0.4622 0.7500
Sn2 0.4622 0.2122 0.2500
Sn3 0.5378 0.7878 0.7500
Sn4 0.7878 0.5378 0.2500
C1 0.1250 0.8750 0.2500
C2 0.8750 0.1250 0.7500